This entry pairs a crystal structure of CePb5Se7 with its calculated X-ray diffraction stick pattern. Radiation: copper Kα. Structure: a structure optimized by DFT (GGA-PBE).
No peak broadening, texture or thermal motion is included.

Principal peaks in the range 2θ from 5° to 70°, by angle:
24.38°, intensity 100; 27.53°, intensity 34; 28.87°, intensity 89; 29.96°, intensity 80; 30.80°, intensity 32; 38.96°, intensity 46; 41.65°, intensity 33; 42.06°, intensity 34; 42.81°, intensity 48; 49.89°, intensity 38

Crystal structure
a = 7.5878 Å, b = 7.5878 Å, c = 25.3173 Å
α = 90.00°, β = 90.00°, γ = 147.66°
Sites, in units of the cell vectors:
Ce  0.2075  0.7925  0.5000
Ce  0.7925  0.2075  0.0000
Pb  0.0169  0.9831  0.7398
Pb  0.2546  0.7454  0.1633
Pb  0.2915  0.7085  0.8151
Pb  0.4390  0.5610  0.3885
Pb  0.4773  0.5227  0.5851
Pb  0.5227  0.4773  0.0851
Pb  0.5610  0.4390  0.8885
Pb  0.7085  0.2915  0.3151
Pb  0.7454  0.2546  0.6633
Pb  0.9831  0.0169  0.2398
Se  0.0656  0.9344  0.3437
Se  0.1172  0.8828  0.6083
Se  0.1816  0.8184  0.0548
Se  0.2112  0.7888  0.9234
Se  0.3472  0.6528  0.2778
Se  0.3795  0.6205  0.6979
Se  0.4277  0.5723  0.9830
Se  0.5723  0.4277  0.4830
Se  0.6205  0.3795  0.1979
Se  0.6528  0.3472  0.7778
Se  0.7888  0.2112  0.4234
Se  0.8184  0.1816  0.5548
Se  0.8828  0.1172  0.1083
Se  0.9344  0.0656  0.8437